For AcPm3Nd6, DFT lattice parameters and positions (GGA-PBE) gives the computed powder X-ray diffraction pattern in this record (λ = 1.5418 Å (Cu Kα)).
Lines closer than 0.1° are merged.

Principal peaks in the range 2θ = 5–70°, by angle:
Position (°2θ)	I (rel.)	hkl
28.5	26.0	1 1 2
29.3	24.4	2 1 -2
29.6	28.3	0 1 3
29.7	66.9	4 0 0
30.8	66.4	1 0 5
31.3	100.0	3 0 -5
32.0	31.3	2 1 2
33.2	36.4	3 1 -2
51.1	24.7	6 1 -3
59.0	21.3	4 2 0

Crystal structure
Cell: 12.3925 3.6656 16.4240 Å, 90.00 104.18 90.00°
Atoms (fractional coordinates):
Ac: 0.1338 0.2500 0.0618
Ac: 0.8662 0.7500 0.9382
Pm: 0.1122 0.2500 0.6708
Pm: 0.3838 0.2500 0.4284
Pm: 0.3994 0.2500 0.2170
Pm: 0.6006 0.7500 0.7830
Pm: 0.6162 0.7500 0.5716
Pm: 0.8878 0.7500 0.3292
Nd: 0.1116 0.2500 0.4605
Nd: 0.1154 0.7500 0.8553
Nd: 0.1568 0.7500 0.2743
Nd: 0.3383 0.7500 0.6131
Nd: 0.3596 0.2500 0.8199
Nd: 0.3814 0.7500 0.0210
Nd: 0.6186 0.2500 0.9790
Nd: 0.6404 0.7500 0.1801
Nd: 0.6617 0.2500 0.3869
Nd: 0.8432 0.2500 0.7257
Nd: 0.8846 0.2500 0.1447
Nd: 0.8884 0.7500 0.5395